Simulated powder XRD pattern
Compound: BaCoTeO5
Radiation: a wavelength of 1.5418 Å
Structure: a DFT-relaxed cell (PBE+U, Alexandria)
Lines closer than 0.1° are merged.

Cell and atoms:
Lattice parameters (Å, degrees): 7.202 9.767 7.597 90.00 114.55 90.00
Space group C2/c (No. 15)
Symmetry-distinct sites (fractional):
Ba (0.000, 0.165, 0.250) (multiplicity 4)
Co (0.000, 0.195, 0.750) (multiplicity 4)
Te (0.000, 0.500, 0.000) (multiplicity 4)
O (0.000, 0.439, 0.250) (multiplicity 4)
O (0.090, 0.314, 0.590) (multiplicity 8)
O (0.216, 0.060, 0.911) (multiplicity 8)

Peak list (10 most intense, 2θ from 15° to 90°, sorted by position)
index  2θ (°)  I/Imax
1 1 -2  25.32  100
2 0 0  27.23  78
1 3 0  30.66  92
0 2 2  31.72  51
2 2 -2  34.20  27
1 1 2  35.25  21
3 1 -2  39.68  21
3 3 0  50.31  29
1 3 -4  56.69  21
3 3 -4  59.84  20